The following is a calculated XRD peak list of NaTa2WO8. It was derived from a cell relaxed with PBE+U, using Cu Kα (weighted mean of Kα1 and Kα2).

```
NaTa2WO8
1.0
3.374 -3.464 0.000
3.374 3.464 0.000
0.000 0.000 6.322
Na Ta W O
1 2 1 8
Direct
0.000 0.000 0.000 Na
0.500 0.500 0.242 Ta
0.500 0.500 0.758 Ta
0.000 0.000 0.500 W
0.212 0.212 0.284 O
0.212 0.212 0.716 O
0.302 0.698 0.500 O
0.321 0.679 0.000 O
0.679 0.321 0.000 O
0.698 0.302 0.500 O
0.788 0.788 0.284 O
0.788 0.788 0.716 O
```

The 8 most intense peaks (2θ = 5–70°), by angle:
d 3.840, I 31; d 3.464, I 64; d 3.374, I 57; d 2.645, I 100; d 2.417, I 30; d 1.797, I 44; d 1.772, I 37; d 1.435, I 23